1.
CeSmBi6: simulated powder diffraction line list (copper Kα), based on a DFT-relaxed cell (GGA-PBE, Alexandria).
Peak positions follow from Bragg's law for the DFT cell and can differ from measured ones.

The 10 most intense peaks (15° ≤ 2θ ≤ 90°), sorted by position:
d (Å)  I_rel
3.039  100
2.928  51
2.697  96
2.350  39
2.316  30
1.832  27
1.816  26
1.649  22
1.581  21
1.437  25

Structure:
```
data_CeSmBi6
_chemical_formula_sum 'Ce2 Sm2 Bi12'
_cell_length_a 4.631
_cell_length_b 4.699
_cell_length_c 23.421
_cell_angle_alpha 90.00
_cell_angle_beta 90.00
_cell_angle_gamma 90.00
_symmetry_space_group_name_H-M 'A m m 2'
_symmetry_Int_Tables_number 38
_symmetry_space_group_name_Hall 'A 2 -2'
loop_
_atom_site_label
_atom_site_type_symbol
_atom_site_fract_x
_atom_site_fract_y
_atom_site_fract_z
Ce1 Ce 0.000 0.000 0.000
Sm1 Sm 0.500 0.000 0.649
Bi1 Bi 0.000 0.000 0.138
Bi2 Bi 0.000 0.000 0.390
Bi3 Bi 0.000 0.000 0.756
Bi4 Bi 0.500 0.000 0.268
Bi5 Bi 0.500 0.000 0.512
Bi6 Bi 0.500 0.000 0.889
```

=====

2.
Ce5SmBi3: simulated powder diffraction line list (copper Kα), based on a DFT-relaxed cell (GGA-PBE, Alexandria).
Peak positions follow from Bragg's law for the DFT cell and can differ from measured ones.

The 10 most intense peaks (15° ≤ 2θ ≤ 90°), sorted by position:
d (Å)  I_rel
2.794  100
2.730  79
2.134  16
1.953  30
1.613  19
1.600  32
1.423  26
1.397  12
1.243  14
1.155  13

Structure:
```
data_Ce5SmBi3
_chemical_formula_sum 'Ce10 Sm2 Bi6'
_cell_length_a 9.6772
_cell_length_b 9.6772
_cell_length_c 6.6137
_cell_angle_alpha 90.00
_cell_angle_beta 90.00
_cell_angle_gamma 120.00
_symmetry_space_group_name_H-M 'P 63/m c m'
_symmetry_Int_Tables_number 193
_symmetry_space_group_name_Hall '-P 6c 2'
loop_
_atom_site_label
_atom_site_type_symbol
_atom_site_fract_x
_atom_site_fract_y
_atom_site_fract_z
Ce1 Ce 0.0000 0.3415 0.2500
Ce2 Ce 0.3333 0.6667 0.0000
Sm1 Sm 0.0000 0.0000 0.0000
Bi1 Bi 0.0000 0.3272 0.7500
```

=====

3.
Tb2CeSmBi4: simulated powder diffraction line list (copper Kα), based on a DFT-relaxed cell (GGA-PBE, Alexandria).
Peak positions follow from Bragg's law for the DFT cell and can differ from measured ones.

The 10 most intense peaks (15° ≤ 2θ ≤ 90°), sorted by position:
d (Å)  I_rel
3.703  4
3.207  100
2.268  78
1.934  3
1.852  29
1.604  14
1.434  38
1.309  26
1.134  6
1.133  3

Structure:
```
data_Tb2CeSmBi4
_chemical_formula_sum 'Tb2 Ce1 Sm1 Bi4'
_cell_length_a 7.852
_cell_length_b 4.536
_cell_length_c 7.858
_cell_angle_alpha 90.00
_cell_angle_beta 109.41
_cell_angle_gamma 90.00
_symmetry_space_group_name_H-M 'P 1 2/m 1'
_symmetry_Int_Tables_number 10
_symmetry_space_group_name_Hall '-P 2y'
loop_
_atom_site_label
_atom_site_type_symbol
_atom_site_fract_x
_atom_site_fract_y
_atom_site_fract_z
Tb1 Tb 0.000 0.000 0.000
Tb2 Tb 0.000 0.500 0.500
Ce1 Ce 0.500 0.000 0.500
Sm1 Sm 0.500 0.500 0.000
Bi1 Bi 0.245 0.500 0.248
Bi2 Bi 0.246 0.000 0.749
```

=====

4.
Ce2SnBi3: simulated powder diffraction line list (copper Kα), based on a DFT-relaxed cell (GGA-PBE, Alexandria).
Peak positions follow from Bragg's law for the DFT cell and can differ from measured ones.

The 10 most intense peaks (15° ≤ 2θ ≤ 90°), sorted by position:
d (Å)  I_rel
3.176  21
3.007  100
2.977  52
2.598  91
2.258  61
1.799  50
1.597  21
1.410  21
1.407  23
1.360  25

Structure:
```
data_Ce2SnBi3
_chemical_formula_sum 'Ce2 Sn1 Bi3'
_cell_length_a 4.517
_cell_length_b 4.517
_cell_length_c 8.931
_cell_angle_alpha 90.00
_cell_angle_beta 90.00
_cell_angle_gamma 90.00
_symmetry_space_group_name_H-M 'P -4 m 2'
_symmetry_Int_Tables_number 115
_symmetry_space_group_name_Hall 'P -4 -2'
loop_
_atom_site_label
_atom_site_type_symbol
_atom_site_fract_x
_atom_site_fract_y
_atom_site_fract_z
Ce1 Ce 0.000 0.500 0.211
Sn1 Sn 0.000 0.000 0.500
Bi1 Bi 0.000 0.500 0.845
Bi2 Bi 0.500 0.500 0.500
```

=====

5.
Ce2SnBi4: simulated powder diffraction line list (copper Kα), based on a DFT-relaxed cell (GGA-PBE, Alexandria).
Peak positions follow from Bragg's law for the DFT cell and can differ from measured ones.

The 10 most intense peaks (15° ≤ 2θ ≤ 90°), sorted by position:
d (Å)  I_rel
4.568  20
3.499  21
2.783  100
2.773  99
2.474  73
2.284  29
1.749  26
1.679  23
1.481  46
1.478  15

Structure:
```
data_Ce2SnBi4
_chemical_formula_sum 'Ce4 Sn2 Bi8'
_cell_length_a 9.137
_cell_length_b 9.903
_cell_length_c 6.716
_cell_angle_alpha 90.00
_cell_angle_beta 132.58
_cell_angle_gamma 90.00
_symmetry_space_group_name_H-M 'C 1 2/m 1'
_symmetry_Int_Tables_number 12
_symmetry_space_group_name_Hall '-C 2y'
loop_
_atom_site_label
_atom_site_type_symbol
_atom_site_fract_x
_atom_site_fract_y
_atom_site_fract_z
Ce1 Ce 0.250 0.250 0.000
Sn1 Sn 0.000 0.000 0.500
Bi1 Bi 0.000 0.000 0.000
Bi2 Bi 0.000 0.500 0.000
Bi3 Bi 0.250 0.250 0.500
```

=====

6.
Ce4SnBi5: simulated powder diffraction line list (copper Kα), based on a DFT-relaxed cell (GGA-PBE, Alexandria).
Peak positions follow from Bragg's law for the DFT cell and can differ from measured ones.

The 10 most intense peaks (15° ≤ 2θ ≤ 90°), sorted by position:
d (Å)  I_rel
3.912  21
3.082  47
2.903  100
2.792  29
2.704  44
2.517  30
2.286  30
1.769  16
1.694  18
1.452  16

Structure:
```
data_Ce4SnBi5
_chemical_formula_sum 'Ce8 Sn2 Bi10'
_cell_length_a 4.572
_cell_length_b 11.271
_cell_length_c 12.515
_cell_angle_alpha 90.00
_cell_angle_beta 90.00
_cell_angle_gamma 90.00
_symmetry_space_group_name_H-M 'I m m m'
_symmetry_Int_Tables_number 71
_symmetry_space_group_name_Hall '-I 2 2'
loop_
_atom_site_label
_atom_site_type_symbol
_atom_site_fract_x
_atom_site_fract_y
_atom_site_fract_z
Ce1 Ce 0.000 0.000 0.249
Ce2 Ce 0.000 0.289 0.500
Sn1 Sn 0.000 0.000 0.500
Bi1 Bi 0.000 0.000 0.000
Bi2 Bi 0.000 0.323 0.163
```